This entry pairs a crystal structure of Ba2CoGe2O7 with its theoretical powder diffractogram. Radiation: λ = 1.5418 Å (Cu Kα). Structure: a GGA+U-relaxed structure.

Main lines, by angle (5° ≤ 2θ ≤ 70°):
2θ (°), I (rel.), h k l
21.6, 7, 1 1 2
26.3, 18, 2 0 -2
28.3, 100, 1 2 2
31.7, 13, 0 0 4
33.4, 22, 3 -1 0
45.3, 9, 3 3 0
46.7, 20, 1 3 4
47.0, 12, 4 1 2
54.4, 13, 1 2 -6
61.0, 14, 5 2 -2

Cell lengths 8.4929, 8.4957, 11.2845 Å; angles 90.01, 90.00, 90.04 degrees
Space group P1 (No. 1)
Inequivalent atoms, fractional coordinates:
Ba 0.0000 0.0000 0.0000
Ba 0.0000 0.9999 0.5002
Ba 0.1682 0.4998 0.0087
Ba 0.1686 0.4998 0.5086
Ba 0.4997 0.8311 0.0084
Ba 0.5000 0.8311 0.5085
Ba 0.6682 0.3310 0.0002
Ba 0.6683 0.3311 0.5000
Co 0.3340 0.1655 0.7542
Co 0.3340 0.1658 0.2542
Co 0.8343 0.6657 0.7543
Co 0.8347 0.6657 0.2543
Ge 0.1936 0.8063 0.7737
Ge 0.1941 0.8067 0.2735
Ge 0.4750 0.5247 0.2734
Ge 0.4749 0.5247 0.7736
Ge 0.6927 0.0246 0.2351
Ge 0.6932 0.0246 0.7349
Ge 0.9747 0.3058 0.2352
Ge 0.9747 0.3064 0.7350
O 0.0182 0.7462 0.3471
O 0.0178 0.7456 0.8475
O 0.1501 0.2450 0.1610
O 0.1503 0.2452 0.6613
O 0.1963 0.8034 0.6192
O 0.1967 0.8036 0.1189
O 0.2551 0.9818 0.8477
O 0.2555 0.9820 0.3477
O 0.3340 0.6652 0.8353
O 0.3344 0.6655 0.3352
O 0.4137 0.3494 0.3475
O 0.4140 0.3490 0.8473
O 0.4712 0.5272 0.1187
O 0.4718 0.5275 0.6191
O 0.5175 0.0852 0.6610
O 0.5176 0.0861 0.1609
O 0.6509 0.5851 0.3471
O 0.6507 0.5856 0.8474
O 0.6960 0.0281 0.3898
O 0.6962 0.0277 0.8894
O 0.7527 0.8486 0.1615
O 0.7545 0.8490 0.6610
O 0.8342 0.1646 0.1734
O 0.8338 0.1655 0.6734
O 0.9134 0.4812 0.1614
O 0.9137 0.4818 0.6610
O 0.9723 0.3028 0.3898
O 0.9718 0.3035 0.8895